For TcSb6Ir, a structure optimized by DFT (GGA-PBE) gives the computed X-ray powder pattern in this record (Cu Kα).
Neutral-atom scattering factors, no anomalous dispersion.

The 10 most intense peaks (10 to 90 degrees two-theta), most intense first:
- 2θ 29.91, intensity 100
- 2θ 18.80, intensity 37
- 2θ 42.78, intensity 36
- 2θ 30.00, intensity 26
- 2θ 47.08, intensity 25
- 2θ 42.86, intensity 24
- 2θ 35.60, intensity 19
- 2θ 35.53, intensity 19
- 2θ 13.24, intensity 18
- 2θ 47.21, intensity 16

Structure:
Cell lengths 8.161, 8.161, 9.424 Å; angles 125.03, 125.03, 70.76 degrees
Atoms (fractional coordinates):
Tc  0.000  0.500  0.000
Tc  0.500  0.000  0.000
Sb  0.155  0.844  0.338
Sb  0.156  0.845  0.662
Sb  0.184  0.507  0.846
Sb  0.338  0.338  0.494
Sb  0.339  0.339  0.183
Sb  0.493  0.816  0.154
Sb  0.507  0.184  0.846
Sb  0.661  0.661  0.817
Sb  0.662  0.662  0.506
Sb  0.816  0.493  0.154
Sb  0.844  0.155  0.338
Sb  0.845  0.156  0.662
Ir  0.000  0.500  0.500
Ir  0.500  0.000  0.500



For Tc2Sb2Ir, a structure optimized by DFT (GGA-PBE) gives the computed X-ray powder pattern in this record (Cu Kα).
Neutral-atom scattering factors, no anomalous dispersion.

The 10 most intense peaks (10 to 90 degrees two-theta), most intense first:
- 2θ 38.77, intensity 100
- 2θ 36.67, intensity 25
- 2θ 70.06, intensity 15
- 2θ 34.58, intensity 11
- 2θ 75.53, intensity 11
- 2θ 32.19, intensity 10
- 2θ 47.96, intensity 9
- 2θ 55.81, intensity 9
- 2θ 71.57, intensity 9
- 2θ 59.00, intensity 7

Structure:
Cell lengths 7.336, 7.336, 3.294 Å; angles 90.00, 90.00, 90.00 degrees
Atoms (fractional coordinates):
Tc  0.133  0.367  0.000
Tc  0.367  0.867  0.000
Tc  0.633  0.133  0.000
Tc  0.867  0.633  0.000
Sb  0.167  0.667  0.500
Sb  0.333  0.167  0.500
Sb  0.667  0.833  0.500
Sb  0.833  0.333  0.500
Ir  0.000  0.000  0.000
Ir  0.500  0.500  0.000



For Th4Sb3Ir, a structure optimized by DFT (GGA-PBE) gives the computed X-ray powder pattern in this record (Cu Kα).
Neutral-atom scattering factors, no anomalous dispersion.

The 10 most intense peaks (10 to 90 degrees two-theta), most intense first:
- 2θ 28.28, intensity 100
- 2θ 28.62, intensity 46
- 2θ 39.94, intensity 35
- 2θ 41.40, intensity 34
- 2θ 40.52, intensity 19
- 2θ 40.33, intensity 18
- 2θ 50.20, intensity 18
- 2θ 58.50, intensity 12
- 2θ 49.11, intensity 10
- 2θ 74.08, intensity 10

Structure:
Cell lengths 7.847, 8.944, 7.495 Å; angles 90.00, 108.99, 90.00 degrees
Atoms (fractional coordinates):
Th  0.216  0.113  0.012
Th  0.216  0.887  0.512
Th  0.236  0.354  0.482
Th  0.236  0.646  0.982
Th  0.764  0.354  0.018
Th  0.764  0.646  0.518
Th  0.784  0.113  0.488
Th  0.784  0.887  0.988
Sb  0.000  0.380  0.750
Sb  0.000  0.620  0.250
Sb  0.500  0.123  0.750
Sb  0.500  0.384  0.250
Sb  0.500  0.616  0.750
Sb  0.500  0.877  0.250
Ir  0.000  0.120  0.250
Ir  0.000  0.880  0.750



For Ti2SbIr, a structure optimized by DFT (GGA-PBE) gives the computed X-ray powder pattern in this record (Cu Kα).
Neutral-atom scattering factors, no anomalous dispersion.

The 10 most intense peaks (10 to 90 degrees two-theta), most intense first:
- 2θ 35.87, intensity 100
- 2θ 34.79, intensity 80
- 2θ 50.83, intensity 72
- 2θ 24.41, intensity 61
- 2θ 50.02, intensity 27
- 2θ 74.09, intensity 23
- 2θ 70.67, intensity 20
- 2θ 63.07, intensity 19
- 2θ 84.53, intensity 16
- 2θ 56.42, intensity 16

Structure:
Cell lengths 5.899, 5.899, 5.899 Å; angles 103.63, 103.63, 121.91 degrees
Atoms (fractional coordinates):
Ti  0.084  0.125  0.459
Ti  0.375  0.916  0.041
Ti  0.666  0.625  0.541
Ti  0.875  0.334  0.959
Sb  0.250  0.750  0.500
Sb  0.500  0.500  0.000
Ir  0.000  0.000  0.000
Ir  0.750  0.250  0.500



For Tm6Sb3Ir, a structure optimized by DFT (GGA-PBE) gives the computed X-ray powder pattern in this record (Cu Kα).
Neutral-atom scattering factors, no anomalous dispersion.

The 10 most intense peaks (10 to 90 degrees two-theta), most intense first:
- 2θ 33.51, intensity 100
- 2θ 34.80, intensity 55
- 2θ 28.93, intensity 48
- 2θ 31.73, intensity 38
- 2θ 46.88, intensity 32
- 2θ 32.76, intensity 32
- 2θ 10.20, intensity 24
- 2θ 32.13, intensity 23
- 2θ 24.10, intensity 21
- 2θ 40.21, intensity 20

Structure:
Cell lengths 9.234, 9.234, 7.043 Å; angles 90.00, 90.00, 110.12 degrees
Atoms (fractional coordinates):
Tm  0.016  0.984  0.500
Tm  0.106  0.570  0.936
Tm  0.232  0.357  0.313
Tm  0.245  0.755  0.446
Tm  0.357  0.232  0.813
Tm  0.430  0.894  0.936
Tm  0.570  0.106  0.436
Tm  0.643  0.768  0.313
Tm  0.755  0.245  0.946
Tm  0.768  0.643  0.813
Tm  0.894  0.430  0.436
Tm  0.984  0.016  0.000
Sb  0.070  0.289  0.704
Sb  0.289  0.070  0.204
Sb  0.438  0.562  0.005
Sb  0.562  0.438  0.505
Sb  0.711  0.930  0.704
Sb  0.930  0.711  0.204
Ir  0.148  0.852  0.763
Ir  0.852  0.148  0.263



For U3Sb4Ir3, a structure optimized by DFT (GGA-PBE) gives the computed X-ray powder pattern in this record (Cu Kα).
Neutral-atom scattering factors, no anomalous dispersion.

The 10 most intense peaks (10 to 90 degrees two-theta), most intense first:
- 2θ 34.94, intensity 100
- 2θ 42.05, intensity 55
- 2θ 22.67, intensity 19
- 2θ 52.14, intensity 18
- 2θ 26.23, intensity 14
- 2θ 46.29, intensity 13
- 2θ 72.25, intensity 13
- 2θ 67.54, intensity 13
- 2θ 29.39, intensity 12
- 2θ 70.70, intensity 12

Structure:
Cell lengths 8.322, 8.322, 8.322 Å; angles 109.47, 109.47, 109.47 degrees
Atoms (fractional coordinates):
U  0.125  0.750  0.875
U  0.250  0.625  0.375
U  0.375  0.250  0.625
U  0.625  0.375  0.250
U  0.750  0.875  0.125
U  0.875  0.125  0.750
Sb  0.000  0.323  0.500
Sb  0.000  0.823  0.500
Sb  0.177  0.177  0.177
Sb  0.323  0.500  0.000
Sb  0.500  0.000  0.323
Sb  0.500  0.000  0.823
Sb  0.677  0.677  0.677
Sb  0.823  0.500  0.000
Ir  0.125  0.875  0.250
Ir  0.250  0.125  0.875
Ir  0.375  0.625  0.750
Ir  0.625  0.750  0.375
Ir  0.750  0.375  0.625
Ir  0.875  0.250  0.125



For Y2ZrSbIr, a structure optimized by DFT (GGA-PBE) gives the computed X-ray powder pattern in this record (Cu Kα).
Neutral-atom scattering factors, no anomalous dispersion.

The 10 most intense peaks (10 to 90 degrees two-theta), most intense first:
- 2θ 29.46, intensity 100
- 2θ 32.31, intensity 85
- 2θ 50.39, intensity 48
- 2θ 15.99, intensity 35
- 2θ 55.87, intensity 33
- 2θ 46.34, intensity 31
- 2θ 22.69, intensity 29
- 2θ 37.59, intensity 28
- 2θ 61.14, intensity 27
- 2θ 88.96, intensity 19

Structure:
Cell lengths 5.541, 5.541, 4.785 Å; angles 90.00, 90.00, 90.00 degrees
Atoms (fractional coordinates):
Y  0.000  0.500  0.000
Y  0.500  0.000  0.000
Zr  0.000  0.000  0.000
Sb  0.500  0.500  0.500
Ir  0.000  0.000  0.500



For Sc5Ir3, a structure optimized by DFT (GGA-PBE) gives the computed X-ray powder pattern in this record (Cu Kα).
Neutral-atom scattering factors, no anomalous dispersion.

The 10 most intense peaks (10 to 90 degrees two-theta), most intense first:
- 2θ 37.21, intensity 100
- 2θ 24.06, intensity 98
- 2θ 44.53, intensity 65
- 2θ 27.27, intensity 65
- 2θ 27.38, intensity 64
- 2θ 22.93, intensity 51
- 2θ 41.13, intensity 47
- 2θ 39.14, intensity 45
- 2θ 38.93, intensity 45
- 2θ 53.28, intensity 44

Structure:
Cell lengths 7.883, 7.883, 7.502 Å; angles 95.20, 95.20, 136.45 degrees
Atoms (fractional coordinates):
Sc  0.027  0.661  0.793
Sc  0.193  0.405  0.635
Sc  0.252  0.252  0.008
Sc  0.339  0.973  0.207
Sc  0.405  0.193  0.635
Sc  0.595  0.807  0.365
Sc  0.661  0.027  0.793
Sc  0.748  0.748  0.992
Sc  0.807  0.595  0.365
Sc  0.973  0.339  0.207
Ir  0.079  0.079  0.316
Ir  0.250  0.750  0.500
Ir  0.343  0.657  0.000
Ir  0.657  0.343  0.000
Ir  0.750  0.250  0.500
Ir  0.921  0.921  0.684



For Sc3Ir2, a structure optimized by DFT (GGA-PBE) gives the computed X-ray powder pattern in this record (Cu Kα).
Neutral-atom scattering factors, no anomalous dispersion.

The 10 most intense peaks (10 to 90 degrees two-theta), most intense first:
- 2θ 39.39, intensity 100
- 2θ 23.30, intensity 62
- 2θ 25.78, intensity 60
- 2θ 45.21, intensity 31
- 2θ 37.05, intensity 28
- 2θ 38.18, intensity 25
- 2θ 43.95, intensity 24
- 2θ 19.86, intensity 24
- 2θ 51.67, intensity 22
- 2θ 25.16, intensity 22

Structure:
Cell lengths 5.480, 5.480, 9.430 Å; angles 90.00, 90.00, 135.84 degrees
Atoms (fractional coordinates):
Sc  0.099  0.901  0.750
Sc  0.348  0.652  0.562
Sc  0.348  0.652  0.938
Sc  0.652  0.348  0.062
Sc  0.652  0.348  0.438
Sc  0.901  0.099  0.250
Ir  0.000  0.000  0.000
Ir  0.000  0.000  0.500
Ir  0.183  0.817  0.250
Ir  0.817  0.183  0.750



For Sc5Ir3, a structure optimized by DFT (GGA-PBE) gives the computed X-ray powder pattern in this record (Cu Kα).
Neutral-atom scattering factors, no anomalous dispersion.

The 10 most intense peaks (10 to 90 degrees two-theta), most intense first:
- 2θ 27.47, intensity 100
- 2θ 38.20, intensity 78
- 2θ 39.01, intensity 57
- 2θ 39.47, intensity 48
- 2θ 50.66, intensity 48
- 2θ 31.46, intensity 41
- 2θ 22.48, intensity 35
- 2θ 12.92, intensity 31
- 2θ 41.27, intensity 22
- 2θ 75.29, intensity 21

Structure:
Cell lengths 7.909, 7.909, 5.687 Å; angles 90.00, 90.00, 120.00 degrees
Atoms (fractional coordinates):
Sc  0.000  0.259  0.250
Sc  0.000  0.741  0.750
Sc  0.259  0.000  0.250
Sc  0.259  0.259  0.750
Sc  0.333  0.667  0.000
Sc  0.333  0.667  0.500
Sc  0.667  0.333  0.000
Sc  0.667  0.333  0.500
Sc  0.741  0.000  0.750
Sc  0.741  0.741  0.250
Ir  0.000  0.390  0.750
Ir  0.000  0.610  0.250
Ir  0.390  0.000  0.750
Ir  0.390  0.390  0.250
Ir  0.610  0.000  0.250
Ir  0.610  0.610  0.750



For Sc5Ir3, a structure optimized by DFT (GGA-PBE) gives the computed X-ray powder pattern in this record (Cu Kα).
Neutral-atom scattering factors, no anomalous dispersion.

The 10 most intense peaks (10 to 90 degrees two-theta), most intense first:
- 2θ 38.18, intensity 100
- 2θ 27.39, intensity 34
- 2θ 39.48, intensity 24
- 2θ 38.77, intensity 22
- 2θ 26.08, intensity 21
- 2θ 25.35, intensity 16
- 2θ 70.75, intensity 16
- 2θ 56.53, intensity 14
- 2θ 31.72, intensity 14
- 2θ 69.80, intensity 12

Structure:
Cell lengths 5.766, 5.766, 4.565 Å; angles 90.00, 90.00, 107.33 degrees
Atoms (fractional coordinates):
Sc  0.000  0.000  0.000
Sc  0.000  0.500  0.000
Sc  0.275  0.275  0.500
Sc  0.500  0.000  0.000
Sc  0.725  0.725  0.500
Ir  0.227  0.773  0.500
Ir  0.500  0.500  0.000
Ir  0.773  0.227  0.500



For Sc5Ir2, a structure optimized by DFT (GGA-PBE) gives the computed X-ray powder pattern in this record (Cu Kα).
Neutral-atom scattering factors, no anomalous dispersion.

The 10 most intense peaks (10 to 90 degrees two-theta), most intense first:
- 2θ 23.55, intensity 100
- 2θ 39.08, intensity 42
- 2θ 37.92, intensity 40
- 2θ 39.76, intensity 38
- 2θ 45.72, intensity 29
- 2θ 44.52, intensity 27
- 2θ 26.08, intensity 18
- 2θ 28.59, intensity 18
- 2θ 47.71, intensity 16
- 2θ 27.04, intensity 13

Structure:
Cell lengths 8.204, 8.204, 8.204 Å; angles 132.60, 67.22, 135.26 degrees
Atoms (fractional coordinates):
Sc  0.019  0.250  0.769
Sc  0.087  0.647  0.734
Sc  0.250  0.250  0.000
Sc  0.413  0.147  0.560
Sc  0.481  0.250  0.231
Sc  0.519  0.750  0.769
Sc  0.587  0.853  0.440
Sc  0.750  0.750  0.000
Sc  0.913  0.353  0.266
Sc  0.981  0.750  0.231
Ir  0.125  0.257  0.382
Ir  0.375  0.757  0.132
Ir  0.625  0.243  0.868
Ir  0.875  0.743  0.618



Q: What is the formula in the seventh record?
A: Y2ZrSbIr